[1]
For La5Si3, DFT lattice parameters and positions (GGA-PBE) gives the simulated powder X-ray diffraction pattern in this record (Cu Kα).
Neutral-atom scattering factors, no anomalous dispersion.

Main lines, in order of rising 2θ (2θ = 10–80°):
| d_spacing | Rel. int. | (hkl) |
| --- | --- | --- |
| 3.894 | 33 | 2 0 0 |
| 3.754 | 50 | 1 1 1 |
| 3.124 | 46 | 1 0 2 |
| 2.944 | 46 | 2 1 0 |
| 2.717 | 100 | 1 1 2 |
| 2.703 | 90 | 2 1 1 |
| 2.596 | 49 | 3 0 0 |
| 1.877 | 30 | 2 2 2 |
| 1.825 | 18 | 3 1 2 |
| 1.799 | 27 | 2 1 3 |
| 1.728 | 20 | 3 2 1 |
| 1.691 | 32 | 4 0 2 |

```
data_La5Si3
_chemical_formula_sum 'La10 Si6'
_symmetry_space_group_name_H-M 'P 63/m c m'
_symmetry_Int_Tables_number 193
_symmetry_space_group_name_Hall '-P 6c 2'
_cell_length_a 8.9928
_cell_length_b 8.9928
_cell_length_c 6.8209
_cell_angle_alpha 90.00
_cell_angle_beta 90.00
_cell_angle_gamma 120.00
loop_
_atom_site_label
_atom_site_type_symbol
_atom_site_fract_x
_atom_site_fract_y
_atom_site_fract_z
La1 La 0.0000 0.2517 0.2500
La2 La 0.3333 0.6667 0.0000
Si1 Si 0.0000 0.3907 0.7500
```

***

[2]
For Ni2C3N6, DFT lattice parameters and positions (GGA-PBE) gives the simulated powder X-ray diffraction pattern in this record (Cu Kα).
Neutral-atom scattering factors, no anomalous dispersion.

Main lines, in order of rising 2θ (2θ = 10–80°):
| d_spacing | Rel. int. | (hkl) |
| --- | --- | --- |
| 5.017 | 56 | 0 0 3 |
| 4.019 | 55 | 1 0 1 |
| 3.647 | 49 | 0 1 2 |
| 2.793 | 15 | 1 0 4 |
| 2.441 | 16 | 0 1 5 |
| 2.408 | 46 | 1 1 0 |
| 2.171 | 100 | 1 1 3 |
| 1.737 | 52 | 1 1 6 |
| 1.714 | 12 | 2 0 5 |
| 1.390 | 23 | 3 0 0 |
| 1.373 | 18 | 1 1 9 |
| 1.340 | 9 | 3 0 3 |

```
data_Ni2C3N6
_chemical_formula_sum 'Ni6 C9 N18'
_symmetry_space_group_name_H-M 'R 3 2'
_symmetry_Int_Tables_number 155
_symmetry_space_group_name_Hall 'R 3 2"'
_cell_length_a 4.8152
_cell_length_b 4.8152
_cell_length_c 15.0500
_cell_angle_alpha 90.00
_cell_angle_beta 90.00
_cell_angle_gamma 120.00
loop_
_atom_site_label
_atom_site_type_symbol
_atom_site_fract_x
_atom_site_fract_y
_atom_site_fract_z
Ni1 Ni 0.0000 0.0000 0.1688
C1 C 0.0000 0.6695 0.0000
N1 N 0.0049 0.6572 0.4152
```